Starting from a crystal structure in Alexandria, relaxed with PBE, the powder diffraction line list of Mg17Al11Ge was simulated for Cu Kα X-rays.
Intensities are scaled so that the largest is 1000.

The 8 most intense peaks (10° ≤ 2θ ≤ 90°), by angle:
index  2θ/deg  d (Å)  intensity
0 2 0  11.89  7.443  110
4 2 -2  36.20  2.481  1000
1 3 -3  36.27  2.477  192
3 5 -1  40.16  2.246  289
4 0 0  42.03  2.150  106
4 2 0  43.84  2.065  182
7 3 -3  65.08  1.433  198
1 5 -5  65.19  1.431  110

Structure:
Unit cell a=10.528 b=14.904 c=9.092 alpha=90.00 beta=125.21 gamma=90.00
Space group Cm (No. 8)
One atom of each set of equivalent atoms:
Mg1 0.000 0.000 0.000 x2
Mg2 0.000 0.342 0.055 x4
Mg3 0.102 0.158 0.258 x4
Mg4 0.159 0.500 0.316 x2
Mg5 0.159 0.500 0.656 x2
Mg6 0.172 0.199 0.972 x4
Mg7 0.195 0.144 0.652 x4
Mg8 0.257 0.000 0.939 x2
Mg9 0.355 0.301 0.338 x4
Mg10 0.473 0.500 0.370 x2
Mg11 0.483 0.174 0.653 x4
Al1 0.155 0.317 0.469 x4
Al2 0.249 0.407 0.021 x4
Al3 0.290 0.000 0.477 x2
Al4 0.340 0.316 0.839 x4
Al5 0.384 0.093 0.291 x4
Al6 0.434 0.410 0.656 x4
Ge1 0.470 0.000 0.837 x2



Starting from a crystal structure in Alexandria, relaxed with PBE, the powder diffraction line list of MgAl3Ge3 was simulated for Cu Kα X-rays.
Intensities are scaled so that the largest is 1000.

The 8 most intense peaks (10° ≤ 2θ ≤ 90°), by angle:
index  2θ/deg  d (Å)  intensity
1 1 0  25.16  3.539  491
0 0 6  26.01  3.425  347
2 -1 3  28.38  3.145  1000
2 -1 6  36.50  2.462  686
3 0 0  44.33  2.043  705
1 1 9  47.37  1.919  603
3 0 6  52.12  1.755  295
4 1 9  83.81  1.154  222

Structure:
Unit cell a=7.0788 b=7.0788 c=20.5539 alpha=90.00 beta=90.00 gamma=120.00
Space group R-3 (No. 148, hexagonal axes)
One atom of each set of equivalent atoms:
Mg1 0.0000 0.0000 0.1660 x6
Al1 0.9997 0.3307 0.0411 x18
Ge1 0.0028 0.6638 0.0890 x18



Starting from a crystal structure in Alexandria, relaxed with PBE, the powder diffraction line list of Mg16Al12Ge was simulated for Cu Kα X-rays.
Intensities are scaled so that the largest is 1000.

The 8 most intense peaks (10° ≤ 2θ ≤ 90°), by angle:
index  2θ/deg  d (Å)  intensity
1 1 0  11.93  7.420  230
0 4 2  34.15  2.626  215
3 0 3  36.14  2.485  646
0 5 1  36.34  2.472  1000
3 3 0  36.43  2.466  328
5 1 1  40.38  2.234  479
0 2 4  41.86  2.158  113
3 5 4  65.23  1.430  155

Structure:
Unit cell a=14.7962 b=14.7962 c=9.1678 alpha=90.00 beta=90.00 gamma=120.00
Space group R3m (No. 160, hexagonal axes)
One atom of each set of equivalent atoms:
Mg1 0.0000 0.0000 0.0000 x3
Mg2 0.0415 0.3610 0.3646 x18
Mg3 0.0990 0.1979 0.4945 x9
Mg4 0.1008 0.5504 0.5540 x9
Mg5 0.2003 0.4007 0.1182 x9
Al1 0.0007 0.1860 0.1845 x18
Al2 0.1255 0.0627 0.7068 x9
Al3 0.2079 0.4158 0.6082 x9
Ge1 0.0000 0.0000 0.3099 x3